1.
The following is a computed powder diffractogram of CaAl2SiH4O8. It was derived from a crystal structure in the Materials Project, relaxed with GGA-PBE, using Cu Kα.
Intensities are scaled so that the largest is 100.

Principal peaks in the range 10° ≤ 2θ ≤ 90°, in order of falling intensity:
| (hkl) | 2theta | intensity |
| --- | --- | --- |
| 1 1 6 | 34.18 | 100 |
| 1 0 3 | 21.07 | 78 |
| 1 1 8 | 39.94 | 50 |
| 1 3 6 | 63.37 | 47 |
| 1 1 2 | 26.29 | 46 |
| 1 0 1 | 18.11 | 38 |
| 2 1 1 | 40.46 | 33 |
| 2 2 0 | 51.62 | 26 |
| 2 0 12 | 60.08 | 21 |
| 2 1 9 | 54.02 | 19 |

Lattice parameters (Å, degrees): 5.0085 5.0085 23.4358 90.00 90.00 90.00
Space group I4_1/a (No. 88, origin choice 2)
Asymmetric unit:
1 Ca 0.0000 0.2500 0.1250
2 Al 0.0000 0.2500 0.2847
3 Si 0.0000 0.2500 0.6250
4 H 0.1201 0.0596 0.4659
5 O 0.1320 0.4941 0.6634
6 O 0.1723 0.0630 0.2198

---

2.
The following is a computed powder diffractogram of La4CeZn5. It was derived from a crystal structure in the Materials Project, relaxed with GGA-PBE, using Cu Kα.
Intensities are scaled so that the largest is 100.

Principal peaks in the range 10° ≤ 2θ ≤ 90°, in order of falling intensity:
| (hkl) | 2theta | intensity |
| --- | --- | --- |
| 1 1 0 | 34.15 | 100 |
| 2 1 5 | 61.13 | 36 |
| 2 0 0 | 49.06 | 18 |
| 3 1 0 | 82.07 | 15 |
| 1 0 0 | 23.96 | 12 |
| 2 2 0 | 71.91 | 11 |
| 1 0 10 | 55.32 | 5 |
| 1 1 5 | 42.15 | 4 |
| 0 0 15 | 77.04 | 3 |
| 1 1 15 | 87.03 | 2 |

Lattice parameters (Å, degrees): 3.7127 3.7127 18.5756 90.00 90.00 90.00
Space group P4/mmm (No. 123)
Asymmetric unit:
1 La 0.0000 0.0000 0.1002
2 La 0.0000 0.0000 0.3013
3 Ce 0.0000 0.0000 0.5000
4 Zn 0.5000 0.5000 0.0000
5 Zn 0.5000 0.5000 0.2000
6 Zn 0.5000 0.5000 0.4023

---

3.
The following is a computed powder diffractogram of BiSBr. It was derived from a crystal structure in the Materials Project, relaxed with GGA-PBE, using Cu Kα.
Intensities are scaled so that the largest is 100.

Principal peaks in the range 10° ≤ 2θ ≤ 90°, in order of falling intensity:
| (hkl) | 2theta | intensity |
| --- | --- | --- |
| 1 1 2 | 29.56 | 100 |
| 1 0 1 | 13.39 | 54 |
| 1 0 2 | 19.79 | 48 |
| 2 1 0 | 30.39 | 41 |
| 2 1 4 | 46.16 | 31 |
| 2 0 1 | 22.62 | 28 |
| 0 1 3 | 33.56 | 25 |
| 3 0 2 | 36.07 | 24 |
| 4 1 1 | 49.23 | 23 |
| 1 1 3 | 35.24 | 19 |

Lattice parameters (Å, degrees): 8.4676 4.0887 10.5774 90.00 90.00 90.00
Space group Pnma (No. 62)
Asymmetric unit:
1 Bi 0.1161 0.2500 0.1318
2 S 0.1700 0.7500 0.9620
3 Br 0.0267 0.2500 0.6894